For Ga2FeS4, DFT lattice parameters and positions (GGA-PBE) gives the theoretical X-ray powder pattern in this record (λ = 1.5418 Å (Cu Kα)).

Structural model:
```
Ga2FeS4
1.0
3.659 0.000 0.000
-1.829 3.169 0.000
0.000 0.000 12.410
Ga Fe S
2 1 4
Cartesian
0.000 2.112 3.517
1.829 1.056 8.893
0.000 0.000 0.000
0.000 2.112 1.296
0.000 2.112 7.858
1.829 1.056 4.552
1.829 1.056 11.114
```

Main lines, in order of falling intensity (2θ = 10–90°):
| 2θ/deg | I/Imax |
| --- | --- |
| 29.1 | 100.0 |
| 31.7 | 79.6 |
| 49.8 | 63.9 |
| 21.5 | 59.4 |
| 52.9 | 51.9 |
| 46.5 | 42.7 |
| 40.7 | 36.5 |
| 54.9 | 25.2 |

***

For CeSmO2, DFT lattice parameters and positions (GGA-PBE) gives the theoretical X-ray powder pattern in this record (λ = 1.5418 Å (Cu Kα)).

Structural model:
```
CeSmO2
1.0
-2.489 2.489 4.977
2.489 -2.489 4.977
2.489 2.489 -4.977
Ce Sm O
2 2 4
Cartesian
0.000 0.000 0.000
0.000 2.489 2.488
2.489 0.000 2.437
0.000 0.000 4.926
0.000 0.000 2.443
2.489 0.000 4.896
0.000 0.000 7.511
0.000 2.489 4.932
```

Main lines, in order of falling intensity (2θ = 10–90°):
| 2θ/deg | I/Imax |
| --- | --- |
| 31.1 | 100.0 |
| 36.1 | 80.8 |
| 52.0 | 55.3 |
| 61.8 | 44.9 |
| 87.7 | 24.3 |
| 84.9 | 19.2 |
| 64.9 | 18.4 |
| 76.6 | 8.4 |

***

For Eu2CdHg, DFT lattice parameters and positions (GGA-PBE) gives the theoretical X-ray powder pattern in this record (λ = 1.5418 Å (Cu Kα)).

Structural model:
```
Eu2CdHg
1.0
0.000 3.946 3.946
3.946 0.000 3.946
3.946 3.946 0.000
Eu Cd Hg
2 1 1
Cartesian
1.973 1.973 1.973
5.919 5.919 5.919
0.000 0.000 0.000
3.946 3.946 3.946
```

Main lines, in order of falling intensity (2θ = 10–90°):
| 2θ/deg | I/Imax |
| --- | --- |
| 32.1 | 100.0 |
| 57.2 | 38.4 |
| 46.0 | 18.4 |
| 76.3 | 16.6 |
| 67.1 | 11.9 |
| 85.2 | 4.3 |
| 19.5 | 3.9 |
| 37.8 | 2.5 |

***

For PbCl4, DFT lattice parameters and positions (GGA-PBE) gives the theoretical X-ray powder pattern in this record (λ = 1.5418 Å (Cu Kα)).

Structural model:
```
PbCl4
1.0
6.516 -2.920 0.000
6.516 2.920 0.000
-5.094 0.000 10.279
Pb Cl
2 8
Cartesian
2.695 1.525 7.710
5.242 -1.525 2.570
-0.617 0.029 4.453
-3.164 -0.029 9.592
0.811 0.128 8.308
3.358 -0.128 3.168
4.580 0.128 7.111
7.127 -0.128 1.971
11.101 0.029 0.687
8.554 -0.029 5.827
```

Main lines, in order of falling intensity (2θ = 10–90°):
| 2θ/deg | I/Imax |
| --- | --- |
| 17.2 | 100.0 |
| 17.5 | 97.3 |
| 20.5 | 68.5 |
| 15.2 | 66.1 |
| 26.6 | 37.2 |
| 44.2 | 36.1 |
| 25.6 | 34.4 |
| 35.3 | 31.0 |